1.
KTl2BiPb: theoretical PXRD pattern (Cu Ka), based on a structure optimized by DFT (GGA-PBE).
Lines closer than 0.1° are merged.

Largest 12 diffraction maxima, low angle first, 10° ≤ 2θ ≤ 90°:
Position (°2θ)	I (rel.)
12.1	50
16.8	29
20.7	39
27.0	32
28.2	92
31.6	50
34.6	46
35.5	100
40.2	26
52.0	25
54.0	26
58.8	27

Structure:
a = 4.4892 Å, b = 5.6589 Å, c = 14.5815 Å
α = 90.00°, β = 90.00°, γ = 90.00°
Element x y z (fractional)
K 0.0000 0.0000 0.0000
K 0.5000 0.5000 0.5000
Tl 0.0000 0.0000 0.6201
Tl 0.0000 0.5000 0.2818
Tl 0.5000 0.0000 0.7818
Tl 0.5000 0.5000 0.1201
Bi 0.0000 0.0000 0.3960
Bi 0.5000 0.5000 0.8960
Pb 0.0000 0.5000 0.7425
Pb 0.5000 0.0000 0.2425


2.
La3NiSb: theoretical PXRD pattern (Cu Ka), based on a structure optimized by DFT (GGA-PBE).
Lines closer than 0.1° are merged.

Largest 12 diffraction maxima, low angle first, 10° ≤ 2θ ≤ 90°:
Position (°2θ)	I (rel.)
16.4	9
23.3	3
28.6	100
33.2	84
37.2	5
47.6	60
56.5	44
59.3	21
69.7	9
77.0	18
79.4	26
88.8	20

Structure:
a = 5.3998 Å, b = 5.3998 Å, c = 5.3998 Å
α = 90.00°, β = 90.00°, γ = 90.00°
Element x y z (fractional)
La 0.0000 0.0000 0.5000
La 0.0000 0.5000 0.0000
La 0.5000 0.0000 0.0000
Ni 0.0000 0.0000 0.0000
Sb 0.5000 0.5000 0.5000


3.
SrLiNdS3: theoretical PXRD pattern (Cu Ka), based on a structure optimized by DFT (GGA-PBE).
Lines closer than 0.1° are merged.

Largest 12 diffraction maxima, low angle first, 10° ≤ 2θ ≤ 90°:
Position (°2θ)	I (rel.)
10.4	62
13.3	37
20.8	48
21.8	33
24.2	84
30.6	93
31.0	100
31.5	56
39.8	54
41.2	40
42.4	28
44.4	32

Structure:
a = 8.5294 Å, b = 4.0772 Å, c = 8.6950 Å
α = 90.00°, β = 101.36°, γ = 90.00°
Element x y z (fractional)
Sr 0.1760 0.2500 0.2267
Sr 0.8240 0.7500 0.7733
Li 0.0845 0.2500 0.5852
Li 0.9155 0.7500 0.4148
Nd 0.3365 0.7500 0.8253
Nd 0.6635 0.2500 0.1747
S 0.1133 0.2500 0.8648
S 0.1998 0.7500 0.5033
S 0.4276 0.7500 0.1648
S 0.5724 0.2500 0.8352
S 0.8002 0.2500 0.4967
S 0.8867 0.7500 0.1352


4.
Pr12Y2Mg: theoretical PXRD pattern (Cu Ka), based on a structure optimized by DFT (GGA-PBE).
Lines closer than 0.1° are merged.

Largest 12 diffraction maxima, low angle first, 10° ≤ 2θ ≤ 90°:
Position (°2θ)	I (rel.)
20.1	39
27.7	97
28.4	38
30.8	100
31.2	56
31.9	51
33.2	61
34.9	35
38.2	42
39.2	34
50.1	37
54.4	54

Structure:
a = 6.6705 Å, b = 6.6705 Å, c = 25.2514 Å
α = 90.00°, β = 90.00°, γ = 90.00°
Element x y z (fractional)
Pr 0.0666 0.5666 0.1075
Pr 0.0666 0.9334 0.8925
Pr 0.0821 0.5821 0.5636
Pr 0.0821 0.9179 0.4364
Pr 0.2500 0.2500 0.2102
Pr 0.2500 0.2500 0.3346
Pr 0.2500 0.2500 0.6654
Pr 0.2500 0.2500 0.7898
Pr 0.4179 0.5821 0.4364
Pr 0.4179 0.9179 0.5636
Pr 0.4334 0.5666 0.8925
Pr 0.4334 0.9334 0.1075
Pr 0.5666 0.0666 0.8925
Pr 0.5666 0.4334 0.1075
Pr 0.5821 0.0821 0.4364
Pr 0.5821 0.4179 0.5636
Pr 0.7500 0.7500 0.2102
Pr 0.7500 0.7500 0.3346
Pr 0.7500 0.7500 0.6654
Pr 0.7500 0.7500 0.7898
Pr 0.9179 0.0821 0.5636
Pr 0.9179 0.4179 0.4364
Pr 0.9334 0.0666 0.1075
Pr 0.9334 0.4334 0.8925
Y 0.2500 0.7500 0.2694
Y 0.2500 0.7500 0.7306
Y 0.7500 0.2500 0.2694
Y 0.7500 0.2500 0.7306
Mg 0.2500 0.7500 0.0000
Mg 0.7500 0.2500 0.0000


5.
Tm3SbO7: theoretical PXRD pattern (Cu Ka), based on a structure optimized by DFT (GGA-PBE).
Lines closer than 0.1° are merged.

Largest 12 diffraction maxima, low angle first, 10° ≤ 2θ ≤ 90°:
Position (°2θ)	I (rel.)
29.6	100
34.2	24
34.4	11
49.1	8
49.3	36
58.4	15
58.5	13
58.7	12
61.3	5
80.0	7
80.1	5
82.4	6

Structure:
a = 6.3925 Å, b = 6.3925 Å, c = 7.4271 Å
α = 90.00°, β = 90.00°, γ = 109.34°
Element x y z (fractional)
Tm 0.0045 0.0045 0.0000
Tm 0.0316 0.5008 0.2509
Tm 0.4992 0.9684 0.2491
Tm 0.5008 0.0316 0.7491
Tm 0.9684 0.4992 0.7509
Tm 0.9955 0.9955 0.5000
Sb 0.5000 0.5000 0.0000
Sb 0.5000 0.5000 0.5000
O 0.1304 0.8696 0.7500
O 0.1380 0.8620 0.2500
O 0.1738 0.4241 0.9700
O 0.1756 0.4282 0.5316
O 0.4241 0.1738 0.0300
O 0.4263 0.5737 0.2500
O 0.4282 0.1756 0.4684
O 0.5718 0.8244 0.9684
O 0.5737 0.4263 0.7500
O 0.5759 0.8262 0.5300
O 0.8244 0.5718 0.0316
O 0.8262 0.5759 0.4700
O 0.8620 0.1380 0.7500
O 0.8696 0.1304 0.2500


6.
Na2LiTmF6: theoretical PXRD pattern (Cu Ka), based on a structure optimized by DFT (GGA-PBE).
Lines closer than 0.1° are merged.

Largest 12 diffraction maxima, low angle first, 10° ≤ 2θ ≤ 90°:
Position (°2θ)	I (rel.)
18.8	100
19.7	34
21.4	18
22.3	38
30.6	30
31.7	25
36.1	14
36.7	21
37.1	15
37.2	32
45.6	18
48.0	14

Structure:
a = 5.5467 Å, b = 5.7203 Å, c = 9.7533 Å
α = 90.00°, β = 121.72°, γ = 90.00°
Element x y z (fractional)
Na 0.2096 0.0565 0.2417
Na 0.2096 0.4435 0.7417
Na 0.7904 0.5565 0.2583
Na 0.7904 0.9435 0.7583
Li 0.0000 0.0000 0.5000
Li 0.0000 0.5000 0.0000
Tm 0.5000 0.0000 0.0000
Tm 0.5000 0.5000 0.5000
F 0.1364 0.2096 0.9399
F 0.1364 0.2904 0.4399
F 0.2197 0.7047 0.9262
F 0.2197 0.7953 0.4262
F 0.3890 0.0576 0.7561
F 0.3890 0.4424 0.2561
F 0.6110 0.5576 0.7439
F 0.6110 0.9424 0.2439
F 0.7803 0.2047 0.5738
F 0.7803 0.2953 0.0738
F 0.8636 0.7096 0.5601
F 0.8636 0.7904 0.0601